Entry 1:
# TbUCl
Theoretical powder diffraction line list, CuKα. Input: a DFT-relaxed cell (PBE, Alexandria).
Neutral-atom scattering factors, no anomalous dispersion.

Top 10 peaks for 2θ = 10–90°, in order of rising 2θ:
5.018 Å, intensity 33
2.872 Å, intensity 100
2.761 Å, intensity 48
2.711 Å, intensity 35
2.625 Å, intensity 25
2.591 Å, intensity 27
2.571 Å, intensity 45
2.509 Å, intensity 31
2.458 Å, intensity 46
1.857 Å, intensity 31

Structural model:
a = 3.491 Å, b = 3.492 Å, c = 15.101 Å
α = 90.10°, β = 94.06°, γ = 115.58°
Atoms (fractional coordinates):
Tb: 0.000 0.000 0.000
Tb: 0.361 0.911 0.501
U: 0.410 0.693 0.192
U: 0.952 0.215 0.307
Cl: 0.056 0.284 0.624
Cl: 0.603 0.330 0.878

Entry 2:
# Tc2Cl
Theoretical powder diffraction line list, CuKα. Input: a DFT-relaxed cell (PBE, Alexandria).
Neutral-atom scattering factors, no anomalous dispersion.

Top 10 peaks for 2θ = 10–90°, in order of rising 2θ:
7.644 Å, intensity 100
2.531 Å, intensity 17
2.458 Å, intensity 16
2.110 Å, intensity 20
2.068 Å, intensity 19
2.022 Å, intensity 18
1.955 Å, intensity 12
1.911 Å, intensity 5
1.254 Å, intensity 4
1.192 Å, intensity 6

Structural model:
a = 7.905 Å, b = 7.905 Å, c = 5.613 Å
α = 100.11°, β = 100.11°, γ = 21.26°
Atoms (fractional coordinates):
Tc: 0.196 0.196 0.088
Tc: 0.203 0.203 0.611
Tc: 0.797 0.797 0.389
Tc: 0.804 0.804 0.912
Cl: 0.415 0.415 0.209
Cl: 0.585 0.585 0.791

Entry 3:
# Tc3Cl
Theoretical powder diffraction line list, CuKα. Input: a DFT-relaxed cell (PBE, Alexandria).
Neutral-atom scattering factors, no anomalous dispersion.

Top 10 peaks for 2θ = 10–90°, in order of rising 2θ:
8.754 Å, intensity 28
2.418 Å, intensity 36
2.189 Å, intensity 26
2.153 Å, intensity 100
1.623 Å, intensity 20
1.439 Å, intensity 7
1.339 Å, intensity 21
1.257 Å, intensity 17
1.236 Å, intensity 8
1.202 Å, intensity 7

Structural model:
a = 2.814 Å, b = 2.814 Å, c = 8.754 Å
α = 90.00°, β = 90.00°, γ = 118.50°
Atoms (fractional coordinates):
Tc: 0.000 0.000 0.000
Tc: 0.500 0.500 0.249
Tc: 0.500 0.500 0.751
Cl: 0.000 0.000 0.500

Entry 4:
# TcCl6
Theoretical powder diffraction line list, CuKα. Input: a DFT-relaxed cell (PBE, Alexandria).
Neutral-atom scattering factors, no anomalous dispersion.

Top 10 peaks for 2θ = 10–90°, in order of rising 2θ:
5.503 Å, intensity 100
3.894 Å, intensity 41
2.752 Å, intensity 69
2.462 Å, intensity 17
2.081 Å, intensity 31
1.946 Å, intensity 29
1.834 Å, intensity 17
1.660 Å, intensity 10
1.591 Å, intensity 11
1.527 Å, intensity 10

Structural model:
a = 6.352 Å, b = 6.352 Å, c = 5.513 Å
α = 90.00°, β = 90.00°, γ = 120.00°
Atoms (fractional coordinates):
Tc: 0.000 0.000 0.000
Cl: 0.000 0.296 0.242
Cl: 0.000 0.704 0.758
Cl: 0.296 0.000 0.242
Cl: 0.296 0.296 0.758
Cl: 0.704 0.000 0.758
Cl: 0.704 0.704 0.242

Entry 5:
# Tc5Cl3
Theoretical powder diffraction line list, CuKα. Input: a DFT-relaxed cell (PBE, Alexandria).
Neutral-atom scattering factors, no anomalous dispersion.

Top 10 peaks for 2θ = 10–90°, in order of rising 2θ:
7.767 Å, intensity 95
6.949 Å, intensity 100
2.881 Å, intensity 12
2.533 Å, intensity 12
2.322 Å, intensity 16
2.228 Å, intensity 18
2.159 Å, intensity 13
2.008 Å, intensity 20
1.937 Å, intensity 24
1.854 Å, intensity 14

Structural model:
a = 6.172 Å, b = 7.143 Å, c = 8.036 Å
α = 85.03°, β = 75.24°, γ = 76.72°
Atoms (fractional coordinates):
Tc: 0.000 0.000 0.000
Tc: 0.014 0.222 0.482
Tc: 0.088 0.268 0.115
Tc: 0.251 0.952 0.280
Tc: 0.391 0.293 0.288
Tc: 0.425 0.011 0.511
Tc: 0.583 0.057 0.059
Tc: 0.678 0.790 0.285
Tc: 0.787 0.101 0.306
Tc: 0.895 0.857 0.522
Cl: 0.081 0.252 0.774
Cl: 0.156 0.641 0.290
Cl: 0.163 0.778 0.752
Cl: 0.619 0.033 0.754
Cl: 0.698 0.495 0.125
Cl: 0.731 0.541 0.557

Entry 6:
# TcCl3
Theoretical powder diffraction line list, CuKα. Input: a DFT-relaxed cell (PBE, Alexandria).
Neutral-atom scattering factors, no anomalous dispersion.

Top 10 peaks for 2θ = 10–90°, in order of rising 2θ:
6.637 Å, intensity 100
5.048 Å, intensity 25
4.572 Å, intensity 22
3.626 Å, intensity 10
2.593 Å, intensity 23
2.489 Å, intensity 36
2.026 Å, intensity 12
1.956 Å, intensity 13
1.868 Å, intensity 12
1.732 Å, intensity 12

Structural model:
a = 5.737 Å, b = 5.737 Å, c = 6.907 Å
α = 98.54°, β = 98.54°, γ = 115.10°
Atoms (fractional coordinates):
Tc: 0.142 0.858 0.000
Tc: 0.858 0.142 0.000
Cl: 0.102 0.442 0.806
Cl: 0.234 0.234 0.243
Cl: 0.442 0.102 0.806
Cl: 0.558 0.898 0.194
Cl: 0.766 0.766 0.757
Cl: 0.898 0.558 0.194

Entry 7:
# TlTcCl
Theoretical powder diffraction line list, CuKα. Input: a DFT-relaxed cell (PBE, Alexandria).
Neutral-atom scattering factors, no anomalous dispersion.

Top 10 peaks for 2θ = 10–90°, in order of rising 2θ:
7.979 Å, intensity 86
3.989 Å, intensity 31
2.735 Å, intensity 41
2.660 Å, intensity 27
2.622 Å, intensity 29
2.378 Å, intensity 100
2.042 Å, intensity 20
1.907 Å, intensity 20
1.500 Å, intensity 24
1.475 Å, intensity 16

Structural model:
a = 8.435 Å, b = 8.122 Å, c = 3.129 Å
α = 84.78°, β = 73.54°, γ = 21.68°
Atoms (fractional coordinates):
Tl: 0.000 0.000 0.000
Tc: 0.337 0.337 0.663
Cl: 0.725 0.725 0.275

Entry 8:
# Tl3TcCl6
Theoretical powder diffraction line list, CuKα. Input: a DFT-relaxed cell (PBE, Alexandria).
Neutral-atom scattering factors, no anomalous dispersion.

Top 10 peaks for 2θ = 10–90°, in order of rising 2θ:
4.199 Å, intensity 84
3.709 Å, intensity 100
3.490 Å, intensity 38
3.250 Å, intensity 23
2.750 Å, intensity 30
2.379 Å, intensity 54
2.209 Å, intensity 47
1.989 Å, intensity 24
1.954 Å, intensity 16
1.505 Å, intensity 25

Structural model:
a = 8.515 Å, b = 7.915 Å, c = 7.117 Å
α = 68.78°, β = 60.05°, γ = 51.18°
Atoms (fractional coordinates):
Tl: 0.000 0.000 0.000
Tl: 0.250 0.250 0.250
Tl: 0.750 0.750 0.750
Tc: 0.500 0.500 0.500
Cl: 0.181 0.558 0.819
Cl: 0.280 0.720 0.280
Cl: 0.442 0.819 0.558
Cl: 0.558 0.181 0.442
Cl: 0.720 0.280 0.720
Cl: 0.819 0.442 0.181

Entry 9:
# Zn2TcCl
Theoretical powder diffraction line list, CuKα. Input: a DFT-relaxed cell (PBE, Alexandria).
Neutral-atom scattering factors, no anomalous dispersion.

Top 10 peaks for 2θ = 10–90°, in order of rising 2θ:
8.006 Å, intensity 35
2.430 Å, intensity 100
2.001 Å, intensity 18
1.990 Å, intensity 54
1.534 Å, intensity 22
1.307 Å, intensity 13
1.298 Å, intensity 12
1.218 Å, intensity 20
1.215 Å, intensity 10
1.094 Å, intensity 7

Structural model:
a = 8.200 Å, b = 8.200 Å, c = 8.200 Å
α = 21.57°, β = 21.57°, γ = 21.57°
Atoms (fractional coordinates):
Zn: 0.248 0.248 0.248
Zn: 0.752 0.752 0.752
Tc: 0.500 0.500 0.500
Cl: 0.000 0.000 0.000

Entry 10:
# ZnTcCl2
Theoretical powder diffraction line list, CuKα. Input: a DFT-relaxed cell (PBE, Alexandria).
Neutral-atom scattering factors, no anomalous dispersion.

Top 10 peaks for 2θ = 10–90°, in order of rising 2θ:
6.984 Å, intensity 100
4.270 Å, intensity 16
3.492 Å, intensity 8
2.344 Å, intensity 35
2.328 Å, intensity 11
2.242 Å, intensity 13
2.135 Å, intensity 10
2.027 Å, intensity 37
1.700 Å, intensity 7
1.249 Å, intensity 7

Structural model:
a = 7.486 Å, b = 7.486 Å, c = 7.486 Å
α = 156.95°, β = 145.14°, γ = 42.21°
Atoms (fractional coordinates):
Zn: 0.000 0.000 0.000
Tc: 0.500 0.500 0.000
Cl: 0.362 0.862 0.500
Cl: 0.638 0.138 0.500

Entry 11:
# ZnTcCl2
Theoretical powder diffraction line list, CuKα. Input: a DFT-relaxed cell (PBE, Alexandria).
Neutral-atom scattering factors, no anomalous dispersion.

Top 10 peaks for 2θ = 10–90°, in order of rising 2θ:
2.820 Å, intensity 54
2.698 Å, intensity 18
2.365 Å, intensity 100
2.318 Å, intensity 12
2.055 Å, intensity 45
1.855 Å, intensity 12
1.791 Å, intensity 11
1.550 Å, intensity 13
1.525 Å, intensity 24
1.431 Å, intensity 13

Structural model:
a = 3.230 Å, b = 3.230 Å, c = 9.273 Å
α = 90.00°, β = 90.00°, γ = 121.64°
Atoms (fractional coordinates):
Zn: 0.000 0.000 0.000
Tc: 0.500 0.500 0.232
Cl: 0.000 0.000 0.424
Cl: 0.500 0.500 0.818

Entry 12:
# TeCl2
Theoretical powder diffraction line list, CuKα. Input: a DFT-relaxed cell (PBE, Alexandria).
Neutral-atom scattering factors, no anomalous dispersion.

Top 10 peaks for 2θ = 10–90°, in order of rising 2θ:
7.225 Å, intensity 100
4.047 Å, intensity 72
3.531 Å, intensity 38
3.351 Å, intensity 23
2.802 Å, intensity 86
2.214 Å, intensity 40
2.002 Å, intensity 31
1.751 Å, intensity 19
1.723 Å, intensity 12
1.649 Å, intensity 10

Structural model:
a = 8.281 Å, b = 7.472 Å, c = 4.472 Å
α = 83.77°, β = 63.76°, γ = 32.47°
Atoms (fractional coordinates):
Te: 0.000 0.000 0.000
Cl: 0.373 0.373 0.627
Cl: 0.627 0.627 0.373